# Pu3Mg2Rh3
Calculated X-ray diffraction stick pattern, λ = 1.5418 Å (Cu Kα). Input: the PBE geometry in Alexandria.

Peak list (6 most intense, 10 to 90 degrees two-theta, in order of rising 2θ)
2theta	I (rel.)	index
33.9	37	0 0 8
36.0	30	0 2 0
38.1	100	1 1 4
50.3	21	0 2 8
63.4	20	1 1 12
66.1	20	1 3 4

Structural model:
```
data_Pu3Mg2Rh3
_chemical_formula_sum 'Pu6 Mg4 Rh6'
_cell_length_a 3.117
_cell_length_b 4.984
_cell_length_c 21.146
_cell_angle_alpha 90.00
_cell_angle_beta 90.00
_cell_angle_gamma 90.00
_symmetry_space_group_name_H-M 'I m m m'
_symmetry_Int_Tables_number 71
_symmetry_space_group_name_Hall '-I 2 2'
loop_
_atom_site_label
_atom_site_type_symbol
_atom_site_fract_x
_atom_site_fract_y
_atom_site_fract_z
_atom_site_occupancy
Pu1 Pu 0.000 0.000 0.000 1
Pu2 Pu 0.000 0.500 0.120 1
Mg1 Mg 0.000 0.000 0.227 1
Rh1 Rh 0.000 0.000 0.500 1
Rh2 Rh 0.000 0.500 0.378 1
```